Diffraction record for K2NiPbO4. The X-ray diffraction stick pattern is theoretical, not measured: it uses a crystal structure in Alexandria, relaxed with GGA+U and Cu Ka.
Intensities are scaled so that the largest is 100.

```
K2NiPbO4
1.0
4.0368 -3.8101 0.0000
4.0368 3.8101 0.0000
-4.0077 0.0000 4.5094
K Ni Pb O
2 1 1 4
direct
0.0000 0.0000 0.0000 K
0.7597 0.2403 0.5000 K
0.2348 0.7652 0.5000 Ni
0.4811 0.5189 0.0000 Pb
0.1537 0.5214 0.0891 O
0.3431 0.1472 0.5859 O
0.4786 0.8463 0.9109 O
0.8528 0.6569 0.4141 O
```

The 10 most intense peaks (10° ≤ 2θ ≤ 80°), low angle first:
two_theta  I_rel
18.80  100
19.69  13
29.61  25
29.80  24
30.72  54
32.31  60
38.47  13
39.99  17
52.18  16
52.43  14